1.
# Na2LiAcBr6
Simulated powder diffraction line list, Cu Kα, 1.54184 Å. Input: a cell relaxed with PBE.
Kinematic intensities with the Lorentz-polarization factor, no thermal factor.

Principal peaks in the range 2θ = 15–90°, by angle:
2θ (°)  d (Å)  Rel. int.
16.2  5.456  41.4
27.3  3.271  100.0
32.8  2.728  16.0
35.9  2.504  50.6
37.0  2.432  14.9
41.8  2.160  37.7
47.2  1.926  19.8
50.6  1.803  14.4

Cell and atoms:
a = 8.004 Å, b = 8.004 Å, c = 8.004 Å
α = 55.74°, β = 55.74°, γ = 55.74°
Element x y z (fractional)
Na: 0.000 0.000 0.000
Na: 0.499 0.499 0.499
Li: 0.800 0.800 0.800
Ac: 0.301 0.301 0.301
Br: 0.073 0.703 0.420
Br: 0.188 0.596 0.897
Br: 0.420 0.073 0.703
Br: 0.596 0.897 0.188
Br: 0.703 0.420 0.073
Br: 0.897 0.188 0.596



2.
# Ni2PW
Simulated powder diffraction line list, Cu Kα, 1.54184 Å. Input: a cell relaxed with PBE.
Kinematic intensities with the Lorentz-polarization factor, no thermal factor.

Principal peaks in the range 2θ = 15–90°, by angle:
2θ (°)  d (Å)  Rel. int.
17.9  4.959  35.7
26.3  3.384  26.6
32.0  2.795  25.3
40.5  2.227  57.4
41.1  2.194  100.0
45.3  2.000  61.6
69.8  1.347  22.4
79.7  1.203  22.7

Cell and atoms:
a = 3.384 Å, b = 3.013 Å, c = 9.918 Å
α = 90.00°, β = 90.00°, γ = 90.00°
Element x y z (fractional)
Ni: 0.000 0.000 0.000
Ni: 0.000 0.500 0.500
Ni: 0.500 0.000 0.385
Ni: 0.500 0.500 0.885
P: 0.500 0.000 0.136
P: 0.500 0.500 0.636
W: 0.000 0.000 0.739
W: 0.000 0.500 0.239